For SrZn4CuPt2, a DFT-relaxed cell (PBE, Alexandria) gives the simulated powder diffraction line list in this record (Cu Kα).
No peak broadening, texture or thermal motion is included.

Atomic structure:
Cell: 9.194 9.194 9.194 Å, 27.31 27.31 27.31°
Atoms (fractional coordinates):
Sr: 0.000 0.000 0.000
Zn: 0.134 0.134 0.134
Zn: 0.408 0.408 0.408
Zn: 0.592 0.592 0.592
Zn: 0.866 0.866 0.866
Cu: 0.500 0.500 0.500
Pt: 0.235 0.235 0.235
Pt: 0.765 0.765 0.765

Largest 6 diffraction maxima, in order of rising 2θ, 10 to 90 degrees two-theta:
2θ/deg, I_rel
20.08, 20
27.27, 35
29.11, 26
36.11, 66
41.61, 100
44.63, 42